Structure and calculated powder X-ray diffraction pattern of MnCoReSe (a GGA-PBE-relaxed structure; Cu Ka).

Top 10 peaks for 10° ≤ 2θ ≤ 90°, sorted by position:
- 2θ = 14.2°, 6.226 Å, I = 89
- 2θ = 27.4°, 3.259 Å, I = 33
- 2θ = 28.7°, 3.113 Å, I = 24
- 2θ = 34.2°, 2.619 Å, I = 70
- 2θ = 39.2°, 2.299 Å, I = 60
- 2θ = 42.3°, 2.138 Å, I = 35
- 2θ = 44.8°, 2.022 Å, I = 100
- 2θ = 45.2°, 2.004 Å, I = 65
- 2θ = 49.3°, 1.849 Å, I = 35
- 2θ = 54.3°, 1.688 Å, I = 24

Structural model:
a = 2.7612 Å, b = 3.3769 Å, c = 12.4517 Å
α = 90.00°, β = 90.00°, γ = 90.00°
Fractional coordinates of all 8 atoms:
Mn: 0.0000 0.0000 0.0000
Mn: 0.5000 0.5000 0.5000
Co: 0.0000 0.0000 0.2140
Co: 0.5000 0.5000 0.7140
Re: 0.0000 0.0000 0.6052
Re: 0.5000 0.5000 0.1052
Se: 0.0000 0.5000 0.3447
Se: 0.5000 0.0000 0.8447

Structure and calculated powder X-ray diffraction pattern of Mn6CoRh (a GGA-PBE-relaxed structure; Cu Ka).

Top 10 peaks for 10° ≤ 2θ ≤ 90°, sorted by position:
- 2θ = 24.5°, 3.641 Å, I = 3
- 2θ = 27.5°, 3.248 Å, I = 3
- 2θ = 35.1°, 2.558 Å, I = 2
- 2θ = 37.1°, 2.424 Å, I = 2
- 2θ = 43.2°, 2.093 Å, I = 100
- 2θ = 50.1°, 1.820 Å, I = 32
- 2θ = 50.8°, 1.797 Å, I = 15
- 2θ = 73.6°, 1.287 Å, I = 9
- 2θ = 74.1°, 1.279 Å, I = 17
- 2θ = 89.4°, 1.096 Å, I = 22

Structural model:
a = 3.6406 Å, b = 3.6406 Å, c = 7.1886 Å
α = 90.00°, β = 90.00°, γ = 90.00°
Fractional coordinates of all 8 atoms:
Mn: 0.0000 0.0000 0.0000
Mn: 0.0000 0.0000 0.5000
Mn: 0.0000 0.5000 0.2389
Mn: 0.0000 0.5000 0.7611
Mn: 0.5000 0.0000 0.2389
Mn: 0.5000 0.0000 0.7611
Co: 0.5000 0.5000 0.0000
Rh: 0.5000 0.5000 0.5000

Structure and calculated powder X-ray diffraction pattern of MnCo2RuSe6 (a GGA-PBE-relaxed structure; Cu Ka).

Top 10 peaks for 10° ≤ 2θ ≤ 90°, sorted by position:
- 2θ = 14.9°, 5.955 Å, I = 19
- 2θ = 29.4°, 3.043 Å, I = 28
- 2θ = 30.0°, 2.974 Å, I = 29
- 2θ = 30.6°, 2.919 Å, I = 38
- 2θ = 30.8°, 2.905 Å, I = 21
- 2θ = 35.4°, 2.537 Å, I = 100
- 2θ = 50.4°, 1.810 Å, I = 46
- 2θ = 50.5°, 1.806 Å, I = 25
- 2θ = 51.1°, 1.786 Å, I = 25
- 2θ = 51.4°, 1.777 Å, I = 50

Structural model:
a = 8.0747 Å, b = 8.0747 Å, c = 6.1471 Å
α = 97.24°, β = 97.24°, γ = 83.14°
Fractional coordinates of all 20 atoms:
Mn: 0.0967 0.9033 0.7500
Mn: 0.9033 0.0967 0.2500
Co: 0.2321 0.3906 0.6929
Co: 0.3906 0.2321 0.1929
Co: 0.6094 0.7679 0.8071
Co: 0.7679 0.6094 0.3071
Ru: 0.2580 0.7420 0.2500
Ru: 0.7420 0.2580 0.7500
Se: 0.0327 0.1991 0.6224
Se: 0.1201 0.6256 0.8836
Se: 0.1991 0.0327 0.1224
Se: 0.3220 0.4725 0.4001
Se: 0.3744 0.8799 0.6164
Se: 0.4725 0.3220 0.9001
Se: 0.5275 0.6780 0.0999
Se: 0.6256 0.1201 0.3836
Se: 0.6780 0.5275 0.5999
Se: 0.8009 0.9673 0.8776
Se: 0.8799 0.3744 0.1164
Se: 0.9673 0.8009 0.3776